No. 1
This entry pairs a crystal structure of SrAlZn2Ga with its theoretical PXRD pattern. Radiation: a wavelength of 1.5418 Å. Structure: a cell relaxed with GGA-PBE.

Atomic structure:
Lattice parameters (Å, degrees): 4.2988 4.3604 11.1237 90.00 90.00 90.00
Space group Imm2 (No. 44)
Asymmetric unit:
Sr (0.0000, 0.0000, 0.0000) [2 per cell]
Al (0.0000, 0.5000, 0.7478) [2 per cell]
Zn (0.0000, 0.0000, 0.6169) [2 per cell]
Zn (0.0000, 0.5000, 0.2528) [2 per cell]
Ga (0.0000, 0.0000, 0.3855) [2 per cell]

Most intense lines, 2θ from 10° to 80°, in order of rising 2θ:
2θ = 29.17°, rel. 31.1
2θ = 31.68°, rel. 41.6
2θ = 31.87°, rel. 44.7
2θ = 33.41°, rel. 100.0
2θ = 41.42°, rel. 36.3
2θ = 42.04°, rel. 34.7
2θ = 43.99°, rel. 25.2
2θ = 45.79°, rel. 25.4
2θ = 45.93°, rel. 22.1
2θ = 53.19°, rel. 20.3
2θ = 53.58°, rel. 18.2
2θ = 60.49°, rel. 22.8

No. 2
This entry pairs a crystal structure of Yb3H8 with its theoretical PXRD pattern. Radiation: a wavelength of 1.5418 Å. Structure: a cell relaxed with GGA-PBE.

Atomic structure:
Lattice parameters (Å, degrees): 3.6306 3.6306 8.9352 90.00 90.00 120.00
Space group P-3m1 (No. 164)
Asymmetric unit:
Yb (0.0000, 0.0000, 0.0000) [1 per cell]
Yb (0.3333, 0.6667, 0.3211) [2 per cell]
H (0.0000, 0.0000, 0.2587) [2 per cell]
H (0.3333, 0.6667, 0.0802) [2 per cell]
H (0.3333, 0.6667, 0.5739) [2 per cell]
H (0.3333, 0.6667, 0.8311) [2 per cell]

Most intense lines, 2θ from 10° to 80°, in order of rising 2θ:
2θ = 30.00°, rel. 32.6
2θ = 30.13°, rel. 100.0
2θ = 34.89°, rel. 67.0
2θ = 41.77°, rel. 1.5
2θ = 50.09°, rel. 24.9
2θ = 50.26°, rel. 25.6
2θ = 59.50°, rel. 14.4
2θ = 59.67°, rel. 43.3
2θ = 62.35°, rel. 3.7
2θ = 62.64°, rel. 12.6
2θ = 69.89°, rel. 1.2
2θ = 73.69°, rel. 7.8

No. 3
This entry pairs a crystal structure of Mg6Cu7 with its theoretical PXRD pattern. Radiation: a wavelength of 1.5418 Å. Structure: a cell relaxed with GGA-PBE.

Atomic structure:
Lattice parameters (Å, degrees): 5.1040 5.1040 26.9264 90.00 90.00 120.00
Space group R-3m (No. 166, hexagonal axes)
Asymmetric unit:
Mg (0.0000, 0.0000, 0.0523) [6 per cell]
Mg (0.0000, 0.0000, 0.1559) [6 per cell]
Mg (0.0000, 0.0000, 0.3328) [6 per cell]
Cu (0.0000, 0.0000, 0.5000) [3 per cell]
Cu (0.9995, 0.4998, 0.0904) [18 per cell]

Most intense lines, 2θ from 10° to 80°, in order of rising 2θ:
2θ = 19.78°, rel. 74.4
2θ = 20.36°, rel. 58.1
2θ = 24.09°, rel. 26.7
2θ = 40.19°, rel. 43.1
2θ = 40.67°, rel. 86.5
2θ = 40.97°, rel. 59.1
2θ = 41.40°, rel. 29.7
2θ = 42.20°, rel. 41.7
2θ = 43.08°, rel. 28.1
2θ = 44.30°, rel. 100.0
2θ = 47.44°, rel. 45.3
2θ = 74.34°, rel. 32.9

No. 4
This entry pairs a crystal structure of Li6GaAg5 with its theoretical PXRD pattern. Radiation: a wavelength of 1.5418 Å. Structure: a cell relaxed with GGA-PBE.

Atomic structure:
Lattice parameters (Å, degrees): 4.3996 6.5453 7.5930 115.24 104.71 90.09
Space group P-1 (No. 2)
Asymmetric unit:
Li (0.0000, 0.2492, 0.0005) [2 per cell]
Li (0.3343, 0.5843, 0.6670) [2 per cell]
Li (0.3345, 0.0844, 0.6678) [2 per cell]
Ga (0.5000, 0.5000, 0.0000) [1 per cell]
Ag (0.1629, 0.6626, 0.3253) [2 per cell]
Ag (0.1672, 0.1674, 0.3361) [2 per cell]
Ag (0.5000, 0.0000, 0.0000) [1 per cell]

Most intense lines, 2θ from 10° to 80°, in order of rising 2θ:
2θ = 27.25°, rel. 100.0
2θ = 28.13°, rel. 92.0
2θ = 29.31°, rel. 82.7
2θ = 39.56°, rel. 88.1
2θ = 40.35°, rel. 41.6
2θ = 40.55°, rel. 41.0
2θ = 41.08°, rel. 78.8
2θ = 49.91°, rel. 35.8
2θ = 50.08°, rel. 35.4
2θ = 56.22°, rel. 15.1
2θ = 58.16°, rel. 13.5
2θ = 66.45°, rel. 14.4

No. 5
This entry pairs a crystal structure of K2NaSb3O9 with its theoretical PXRD pattern. Radiation: a wavelength of 1.5418 Å. Structure: a cell relaxed with GGA-PBE.

Atomic structure:
Lattice parameters (Å, degrees): 9.6282 9.6284 9.6284 90.00 90.00 90.00
Space group Pnn2 (No. 34)
Asymmetric unit:
K (0.1488, 0.1488, 0.0000) [4 per cell]
K (0.1493, 0.8507, 0.2981) [4 per cell]
Na (0.2499, 0.2499, 0.3988) [4 per cell]
Sb (0.0000, 0.3411, 0.6489) [4 per cell]
Sb (0.0000, 0.5000, 0.3077) [2 per cell]
Sb (0.0000, 0.5000, 0.9900) [2 per cell]
Sb (0.1589, 0.0000, 0.6488) [4 per cell]
O (0.0000, 0.0000, 0.5099) [2 per cell]
O (0.0000, 0.0000, 0.7878) [2 per cell]
O (0.0000, 0.3611, 0.1489) [4 per cell]
O (0.0027, 0.3378, 0.4371) [4 per cell]
O (0.0026, 0.6622, 0.8607) [4 per cell]
O (0.1389, 0.5000, 0.6489) [4 per cell]
O (0.1622, 0.2118, 0.6461) [4 per cell]
O (0.1623, 0.7882, 0.6515) [4 per cell]
O (0.2118, 0.4974, 0.3111) [4 per cell]
O (0.2118, 0.5027, 0.9866) [4 per cell]

Most intense lines, 2θ from 10° to 80°, in order of rising 2θ:
2θ = 13.00°, rel. 85.9
2θ = 18.43°, rel. 36.2
2θ = 29.33°, rel. 100.0
2θ = 34.87°, rel. 66.0
2θ = 46.19°, rel. 12.7
2θ = 48.19°, rel. 53.2
2θ = 55.66°, rel. 10.8
2θ = 57.42°, rel. 34.2
2θ = 59.15°, rel. 14.7
2θ = 65.78°, rel. 16.4
2θ = 68.97°, rel. 14.2
2θ = 78.17°, rel. 10.5

No. 6
This entry pairs a crystal structure of MgI with its theoretical PXRD pattern. Radiation: a wavelength of 1.5418 Å. Structure: a cell relaxed with GGA-PBE.

Atomic structure:
Lattice parameters (Å, degrees): 14.0273 4.4436 9.9065 90.00 90.00 90.00
Space group Pnma (No. 62)
Asymmetric unit:
Mg (0.0587, 0.2500, 0.0996) [4 per cell]
Mg (0.1292, 0.2500, 0.8217) [4 per cell]
I (0.0642, 0.7500, 0.6580) [4 per cell]
I (0.1764, 0.7500, 0.2321) [4 per cell]

Most intense lines, 2θ from 10° to 80°, in order of rising 2θ:
2θ = 17.91°, rel. 71.4
2θ = 23.70°, rel. 48.0
2θ = 25.38°, rel. 100.0
2θ = 26.97°, rel. 68.7
2θ = 27.72°, rel. 43.0
2θ = 29.87°, rel. 46.8
2θ = 33.82°, rel. 30.4
2θ = 39.06°, rel. 33.4
2θ = 40.61°, rel. 24.2
2θ = 42.27°, rel. 22.8
2θ = 44.74°, rel. 47.8
2θ = 49.46°, rel. 43.3

No. 7
This entry pairs a crystal structure of Ti2AgBiO6 with its theoretical PXRD pattern. Radiation: a wavelength of 1.5418 Å. Structure: a cell relaxed with GGA-PBE.

Atomic structure:
Lattice parameters (Å, degrees): 5.4661 5.4661 7.9292 90.00 90.00 90.00
Space group I-42m (No. 121)
Asymmetric unit:
Ti (0.0000, 0.5000, 0.2500) [4 per cell]
Ag (0.0000, 0.0000, 0.0000) [2 per cell]
Bi (0.0000, 0.0000, 0.5000) [2 per cell]
O (0.0000, 0.5000, 0.0000) [4 per cell]
O (0.1934, 0.1934, 0.7393) [8 per cell]

Most intense lines, 2θ from 10° to 80°, in order of rising 2θ:
2θ = 19.73°, rel. 20.5
2θ = 22.43°, rel. 15.1
2θ = 23.01°, rel. 31.2
2θ = 32.35°, rel. 100.0
2θ = 32.77°, rel. 55.0
2θ = 40.07°, rel. 37.8
2θ = 45.77°, rel. 17.2
2θ = 47.02°, rel. 28.7
2θ = 57.43°, rel. 21.9
2θ = 58.23°, rel. 42.4
2θ = 67.71°, rel. 17.9
2θ = 78.21°, rel. 10.3

No. 8
This entry pairs a crystal structure of YNi5H7 with its theoretical PXRD pattern. Radiation: a wavelength of 1.5418 Å. Structure: a cell relaxed with GGA-PBE.

Atomic structure:
Lattice parameters (Å, degrees): 5.4149 8.4293 4.9945 90.00 117.64 90.00
Space group Cm (No. 8)
Asymmetric unit:
Y (0.0000, 0.0000, 0.0000) [2 per cell]
Ni (0.1118, 0.5000, 0.3866) [2 per cell]
Ni (0.4104, 0.2759, 0.3649) [4 per cell]
Ni (0.4205, 0.1584, 0.8356) [4 per cell]
H (0.2330, 0.3015, 0.5568) [4 per cell]
H (0.2437, 0.2583, 0.9920) [4 per cell]
H (0.4118, 0.0000, 0.0156) [2 per cell]
H (0.4375, 0.5000, 0.4328) [2 per cell]
H (0.4797, 0.0000, 0.6370) [2 per cell]

Most intense lines, 2θ from 10° to 80°, in order of rising 2θ:
2θ = 29.26°, rel. 19.4
2θ = 35.02°, rel. 41.7
2θ = 37.08°, rel. 17.1
2θ = 37.52°, rel. 75.4
2θ = 37.91°, rel. 100.0
2θ = 39.68°, rel. 41.6
2θ = 40.68°, rel. 35.6
2θ = 40.79°, rel. 41.4
2θ = 43.41°, rel. 34.9
2θ = 46.32°, rel. 29.1
2θ = 46.75°, rel. 37.3
2θ = 47.81°, rel. 23.1

No. 9
This entry pairs a crystal structure of Tb7SmDy5 with its theoretical PXRD pattern. Radiation: a wavelength of 1.5418 Å. Structure: a cell relaxed with GGA-PBE.

Atomic structure:
Lattice parameters (Å, degrees): 6.6728 11.1579 11.5708 90.00 90.00 90.00
Space group Imm2 (No. 44)
Asymmetric unit:
Tb (0.0000, 0.0000, 0.0000) [2 per cell]
Tb (0.0000, 0.0000, 0.3054) [2 per cell]
Tb (0.0000, 0.3293, 0.7485) [4 per cell]
Tb (0.0000, 0.3298, 0.2496) [4 per cell]
Tb (0.0000, 0.5000, 0.9976) [2 per cell]
Sm (0.0000, 0.0000, 0.6954) [2 per cell]
Dy (0.0000, 0.5000, 0.5002) [2 per cell]
Dy (0.2336, 0.2292, 0.4985) [8 per cell]

Most intense lines, 2θ from 10° to 80°, in order of rising 2θ:
2θ = 26.71°, rel. 24.0
2θ = 27.45°, rel. 28.7
2θ = 30.92°, rel. 100.0
2θ = 31.23°, rel. 57.0
2θ = 31.58°, rel. 78.4
2θ = 32.09°, rel. 19.7
2θ = 34.96°, rel. 81.1
2θ = 35.73°, rel. 28.5
2θ = 44.52°, rel. 18.3
2θ = 56.66°, rel. 26.4
2θ = 57.63°, rel. 32.0
2θ = 65.96°, rel. 25.9

No. 10
This entry pairs a crystal structure of LuZnInGa with its theoretical PXRD pattern. Radiation: a wavelength of 1.5418 Å. Structure: a cell relaxed with GGA-PBE.

Atomic structure:
Lattice parameters (Å, degrees): 6.9359 6.9359 6.9359 90.00 90.00 90.00
Space group F-43m (No. 216)
Asymmetric unit:
Lu (0.0000, 0.0000, 0.0000) [4 per cell]
Zn (0.2500, 0.2500, 0.2500) [4 per cell]
In (0.0000, 0.0000, 0.5000) [4 per cell]
Ga (0.2500, 0.2500, 0.7500) [4 per cell]

Most intense lines, 2θ from 10° to 80°, in order of rising 2θ:
2θ = 22.20°, rel. 3.8
2θ = 25.69°, rel. 13.8
2θ = 36.65°, rel. 100.0
2θ = 43.26°, rel. 2.2
2θ = 45.29°, rel. 4.1
2θ = 52.79°, rel. 17.3
2θ = 57.96°, rel. 1.0
2θ = 59.61°, rel. 5.6
2θ = 65.98°, rel. 34.7
2θ = 70.56°, rel. 0.8
2θ = 77.92°, rel. 10.7

No. 11
This entry pairs a crystal structure of ErPuUO6 with its theoretical PXRD pattern. Radiation: a wavelength of 1.5418 Å. Structure: a cell relaxed with GGA-PBE.

Atomic structure:
Lattice parameters (Å, degrees): 5.7634 5.7634 9.4313 90.00 90.00 120.00
Space group P-31c (No. 163)
Asymmetric unit:
Er (0.3333, 0.6667, 0.2500) [2 per cell]
Pu (0.0000, 0.0000, 0.0000) [2 per cell]
U (0.3333, 0.6667, 0.7500) [2 per cell]
O (0.0171, 0.3511, 0.6334) [12 per cell]

Most intense lines, 2θ from 10° to 80°, in order of rising 2θ:
2θ = 25.99°, rel. 100.0
2θ = 31.03°, rel. 57.3
2θ = 38.17°, rel. 9.4
2θ = 40.91°, rel. 30.7
2θ = 49.98°, rel. 42.1
2θ = 52.22°, rel. 30.8
2θ = 55.21°, rel. 17.6
2θ = 61.89°, rel. 9.3
2θ = 69.10°, rel. 11.5
2θ = 70.96°, rel. 12.7
2θ = 77.66°, rel. 11.6
2θ = 79.34°, rel. 9.5